Calculated powder XRD pattern
Compound: PaTl2Te6Au2
Radiation: Cu Kα
Structure: a crystal structure in Alexandria, relaxed with PBE

Top 10 peaks for 2θ = 10–90°, in order of rising 2θ:
| two_theta | d/Å | I (rel.) | (hkl) |
| --- | --- | --- | --- |
| 22.02 | 4.037 | 646 | 3 1 -1 |
| 22.45 | 3.959 | 335 | 0 0 2 |
| 23.67 | 3.758 | 1000 | 1 1 -2 |
| 29.34 | 3.045 | 279 | 0 2 1 |
| 33.07 | 2.709 | 292 | 2 2 -2 |
| 33.48 | 2.677 | 332 | 1 1 -3 |
| 35.16 | 2.553 | 315 | 6 0 -2 |
| 35.30 | 2.543 | 438 | 2 2 1 |
| 37.88 | 2.375 | 528 | 5 1 0 |
| 46.19 | 1.965 | 418 | 6 2 -3 |

Cell lengths 15.321, 6.596, 9.530 Å; angles 90.00, 123.81, 90.00 degrees
Space group C2/m (No. 12)
Inequivalent atoms, fractional coordinates:
Pa  0.000  0.000  0.000
Tl  0.217  0.000  0.731
Te  0.082  0.248  0.322
Te  0.217  0.000  0.098
Au  0.083  0.500  0.782


Calculated powder XRD pattern
Compound: Th2PaAu6
Radiation: Cu Kα
Structure: a crystal structure in Alexandria, relaxed with PBE

Top 10 peaks for 2θ = 10–90°, in order of rising 2θ:
| two_theta | d/Å | I (rel.) | (hkl) |
| --- | --- | --- | --- |
| 34.42 | 2.605 | 1000 | 1 1 1 |
| 37.31 | 2.410 | 872 | 3 0 0 |
| 46.49 | 1.953 | 73 | 3 0 1 |
| 51.66 | 1.769 | 323 | 2 2 1 |
| 55.09 | 1.667 | 96 | 0 0 2 |
| 65.44 | 1.426 | 322 | 4 1 1 |
| 67.28 | 1.392 | 160 | 3 3 0 |
| 68.43 | 1.371 | 305 | 3 0 2 |
| 79.54 | 1.205 | 102 | 6 0 0 |
| 89.63 | 1.094 | 149 | 5 2 1 |

Cell lengths 8.3495, 8.3495, 3.3342 Å; angles 90.00, 90.00, 120.00 degrees
Space group P6/mmm (No. 191)
Inequivalent atoms, fractional coordinates:
Th  0.3333  0.6667  0.0000
Pa  0.0000  0.0000  0.0000
Au  0.0000  0.3318  0.5000


Copy entry 2 word for word.
Calculated powder XRD pattern
Compound: Th2PaAu6
Radiation: Cu Kα
Structure: a crystal structure in Alexandria, relaxed with PBE

Top 10 peaks for 2θ = 10–90°, in order of rising 2θ:
| two_theta | d/Å | I (rel.) | (hkl) |
| --- | --- | --- | --- |
| 34.42 | 2.605 | 1000 | 1 1 1 |
| 37.31 | 2.410 | 872 | 3 0 0 |
| 46.49 | 1.953 | 73 | 3 0 1 |
| 51.66 | 1.769 | 323 | 2 2 1 |
| 55.09 | 1.667 | 96 | 0 0 2 |
| 65.44 | 1.426 | 322 | 4 1 1 |
| 67.28 | 1.392 | 160 | 3 3 0 |
| 68.43 | 1.371 | 305 | 3 0 2 |
| 79.54 | 1.205 | 102 | 6 0 0 |
| 89.63 | 1.094 | 149 | 5 2 1 |

Cell lengths 8.3495, 8.3495, 3.3342 Å; angles 90.00, 90.00, 120.00 degrees
Space group P6/mmm (No. 191)
Inequivalent atoms, fractional coordinates:
Th  0.3333  0.6667  0.0000
Pa  0.0000  0.0000  0.0000
Au  0.0000  0.3318  0.5000